[1]
Simulated powder diffraction line list
Compound: Pr2Mn3Cu9P7
Radiation: Cu Ka
Structure: a DFT-relaxed cell (GGA-PBE, Alexandria)
Intensities are scaled so that the largest is 100.

Principal peaks in the range 10° ≤ 2θ ≤ 90°, by intensity:
d_spacing	Rel. int.
2.429	100
1.927	19
1.806	16
1.972	14
1.318	11
2.758	11

Unit cell a=9.554 b=9.554 c=3.855 alpha=90.00 beta=90.00 gamma=120.00
Sites, in units of the cell vectors:
Pr (0.000, 0.000, 0.000)
Pr (0.333, 0.667, 0.500)
Mn (0.453, 0.207, 0.000)
Mn (0.754, 0.547, 0.000)
Mn (0.793, 0.246, 0.000)
Cu (0.044, 0.284, 0.500)
Cu (0.091, 0.716, 0.000)
Cu (0.241, 0.956, 0.500)
Cu (0.284, 0.376, 0.000)
Cu (0.507, 0.451, 0.500)
Cu (0.549, 0.056, 0.500)
Cu (0.624, 0.909, 0.000)
Cu (0.716, 0.759, 0.500)
Cu (0.944, 0.493, 0.500)
P (0.076, 0.449, 0.000)
P (0.257, 0.213, 0.500)
P (0.373, 0.924, 0.000)
P (0.551, 0.627, 0.000)
P (0.667, 0.333, 0.500)
P (0.787, 0.045, 0.500)
P (0.955, 0.743, 0.500)

---

[2]
Simulated powder diffraction line list
Compound: MnCu2PS4
Radiation: Cu Ka
Structure: a DFT-relaxed cell (GGA-PBE, Alexandria)
Intensities are scaled so that the largest is 100.

Principal peaks in the range 10° ≤ 2θ ≤ 90°, by intensity:
d_spacing	Rel. int.
3.060	100
1.868	40
1.606	25
1.887	21
1.583	12
1.334	6

Unit cell a=6.450 b=6.448 c=5.336 alpha=65.59 beta=65.53 gamma=48.88
Sites, in units of the cell vectors:
Mn (0.000, 0.000, 0.000)
Cu (0.250, 0.250, 0.250)
Cu (0.750, 0.750, 0.750)
P (0.500, 0.500, 0.500)
S (0.137, 0.614, 0.863)
S (0.385, 0.864, 0.136)
S (0.614, 0.137, 0.386)
S (0.864, 0.385, 0.615)

---

[3]
Simulated powder diffraction line list
Compound: MnCuSiP
Radiation: Cu Ka
Structure: a DFT-relaxed cell (GGA-PBE, Alexandria)
Intensities are scaled so that the largest is 100.

Principal peaks in the range 10° ≤ 2θ ≤ 90°, by intensity:
d_spacing	Rel. int.
1.828	100
2.759	89
2.063	47
1.863	40
1.970	38
3.456	36

Unit cell a=8.319 b=3.009 c=4.967 alpha=90.00 beta=123.82 gamma=90.00
Sites, in units of the cell vectors:
Mn (0.000, 0.000, 0.000)
Mn (0.500, 0.500, 0.000)
Cu (0.009, 0.000, 0.509)
Cu (0.509, 0.500, 0.509)
Si (0.211, 0.500, 0.433)
Si (0.711, 0.000, 0.433)
P (0.296, 0.000, 0.006)
P (0.796, 0.500, 0.006)

---

[4]
Simulated powder diffraction line list
Compound: Sm2Mn3Cu9P7
Radiation: Cu Ka
Structure: a DFT-relaxed cell (GGA-PBE, Alexandria)
Intensities are scaled so that the largest is 100.

Principal peaks in the range 10° ≤ 2θ ≤ 90°, by intensity:
d_spacing	Rel. int.
2.412	100
1.904	18
1.800	17
1.961	14
1.308	12
2.749	11

Unit cell a=9.523 b=9.523 c=3.807 alpha=90.00 beta=90.00 gamma=120.00
Sites, in units of the cell vectors:
Sm (0.000, 0.000, 0.000)
Sm (0.333, 0.667, 0.500)
Mn (0.451, 0.248, 0.000)
Mn (0.752, 0.203, 0.000)
Mn (0.797, 0.549, 0.000)
Cu (0.048, 0.762, 0.500)
Cu (0.092, 0.374, 0.000)
Cu (0.238, 0.286, 0.500)
Cu (0.282, 0.908, 0.000)
Cu (0.504, 0.055, 0.500)
Cu (0.551, 0.496, 0.500)
Cu (0.626, 0.718, 0.000)
Cu (0.714, 0.952, 0.500)
Cu (0.945, 0.449, 0.500)
P (0.079, 0.626, 0.000)
P (0.256, 0.048, 0.500)
P (0.374, 0.453, 0.000)
P (0.547, 0.921, 0.000)
P (0.667, 0.333, 0.500)
P (0.793, 0.744, 0.500)
P (0.952, 0.207, 0.500)

---

[5]
Simulated powder diffraction line list
Compound: Tb2Mn3Cu9P7
Radiation: Cu Ka
Structure: a DFT-relaxed cell (GGA-PBE, Alexandria)
Intensities are scaled so that the largest is 100.

Principal peaks in the range 10° ≤ 2θ ≤ 90°, by intensity:
d_spacing	Rel. int.
2.399	100
1.885	21
1.796	18
1.952	15
1.300	12
3.426	11

Unit cell a=9.501 b=9.501 c=3.769 alpha=90.00 beta=90.00 gamma=120.00
Sites, in units of the cell vectors:
Tb (0.000, 0.000, 0.000)
Tb (0.333, 0.667, 0.500)
Mn (0.534, 0.417, 0.500)
Mn (0.583, 0.116, 0.500)
Mn (0.884, 0.466, 0.500)
Cu (0.053, 0.293, 0.500)
Cu (0.097, 0.717, 0.000)
Cu (0.240, 0.947, 0.500)
Cu (0.283, 0.380, 0.000)
Cu (0.388, 0.169, 0.000)
Cu (0.620, 0.903, 0.000)
Cu (0.707, 0.760, 0.500)
Cu (0.781, 0.612, 0.000)
Cu (0.831, 0.219, 0.000)
P (0.079, 0.463, 0.000)
P (0.251, 0.209, 0.500)
P (0.384, 0.921, 0.000)
P (0.537, 0.616, 0.000)
P (0.667, 0.333, 0.000)
P (0.791, 0.042, 0.500)
P (0.958, 0.749, 0.500)

---

[6]
Simulated powder diffraction line list
Compound: PaMn4CuS8
Radiation: Cu Ka
Structure: a DFT-relaxed cell (GGA-PBE, Alexandria)
Intensities are scaled so that the largest is 100.

Principal peaks in the range 10° ≤ 2θ ≤ 90°, by intensity:
d_spacing	Rel. int.
3.101	100
5.916	64
2.575	59
3.136	44
3.614	44
1.807	42

Unit cell a=7.341 b=7.341 c=7.341 alpha=58.98 beta=58.98 gamma=58.98
Sites, in units of the cell vectors:
Pa (0.000, 0.000, 0.000)
Mn (0.368, 0.368, 0.368)
Mn (0.504, 0.999, 0.999)
Mn (0.999, 0.504, 0.999)
Mn (0.999, 0.999, 0.504)
Cu (0.633, 0.633, 0.633)
S (0.239, 0.239, 0.239)
S (0.243, 0.744, 0.744)
S (0.258, 0.258, 0.762)
S (0.258, 0.762, 0.258)
S (0.744, 0.243, 0.744)
S (0.744, 0.744, 0.243)
S (0.760, 0.760, 0.760)
S (0.762, 0.258, 0.258)

---

[7]
Simulated powder diffraction line list
Compound: Mn3CuPb2S8
Radiation: Cu Ka
Structure: a DFT-relaxed cell (GGA-PBE, Alexandria)
Intensities are scaled so that the largest is 100.

Principal peaks in the range 10° ≤ 2θ ≤ 90°, by intensity:
d_spacing	Rel. int.
3.086	100
3.410	81
2.485	69
3.505	55
5.192	52
1.705	40

Unit cell a=8.258 b=8.258 c=8.258 alpha=48.78 beta=48.78 gamma=48.78
Sites, in units of the cell vectors:
Mn (0.193, 0.193, 0.614)
Mn (0.193, 0.614, 0.193)
Mn (0.614, 0.193, 0.193)
Cu (0.608, 0.608, 0.608)
Pb (0.148, 0.148, 0.148)
Pb (0.801, 0.801, 0.801)
S (0.377, 0.894, 0.894)
S (0.402, 0.402, 0.402)
S (0.419, 0.419, 0.963)
S (0.419, 0.963, 0.419)
S (0.894, 0.377, 0.894)
S (0.894, 0.894, 0.377)
S (0.953, 0.953, 0.953)
S (0.963, 0.419, 0.419)

---

[8]
Simulated powder diffraction line list
Compound: MnCuTe3Pb
Radiation: Cu Ka
Structure: a DFT-relaxed cell (GGA-PBE, Alexandria)
Intensities are scaled so that the largest is 100.

Principal peaks in the range 10° ≤ 2θ ≤ 90°, by intensity:
d_spacing	Rel. int.
2.978	100
2.945	88
3.067	66
2.082	63
3.014	54
2.166	33

Unit cell a=8.673 b=4.164 c=9.416 alpha=90.00 beta=106.18 gamma=90.00
Sites, in units of the cell vectors:
Mn (0.177, 0.250, 0.159)
Mn (0.823, 0.750, 0.841)
Cu (0.428, 0.750, 0.433)
Cu (0.572, 0.250, 0.567)
Te (0.052, 0.250, 0.856)
Te (0.252, 0.250, 0.464)
Te (0.391, 0.750, 0.135)
Te (0.609, 0.250, 0.865)
Te (0.748, 0.750, 0.536)
Te (0.948, 0.750, 0.144)
Pb (0.305, 0.750, 0.768)
Pb (0.695, 0.250, 0.232)

---

[9]
Simulated powder diffraction line list
Compound: MnCu3Pd2
Radiation: Cu Ka
Structure: a DFT-relaxed cell (GGA-PBE, Alexandria)
Intensities are scaled so that the largest is 100.

Principal peaks in the range 10° ≤ 2θ ≤ 90°, by intensity:
d_spacing	Rel. int.
2.192	100
2.185	95
1.949	35
1.897	31
1.844	28
1.359	20

Unit cell a=4.715 b=4.715 c=8.279 alpha=99.48 beta=99.48 gamma=111.56
Sites, in units of the cell vectors:
Mn (0.127, 0.873, 0.750)
Mn (0.873, 0.127, 0.250)
Cu (0.215, 0.464, 0.928)
Cu (0.379, 0.621, 0.250)
Cu (0.464, 0.215, 0.428)
Cu (0.536, 0.785, 0.572)
Cu (0.621, 0.379, 0.750)
Cu (0.785, 0.536, 0.072)
Pd (0.044, 0.296, 0.596)
Pd (0.296, 0.044, 0.096)
Pd (0.704, 0.956, 0.904)
Pd (0.956, 0.704, 0.404)

---

[10]
Simulated powder diffraction line list
Compound: MnCu4Pd7
Radiation: Cu Ka
Structure: a DFT-relaxed cell (GGA-PBE, Alexandria)
Intensities are scaled so that the largest is 100.

Principal peaks in the range 10° ≤ 2θ ≤ 90°, by intensity:
d_spacing	Rel. int.
2.160	100
2.167	98
1.248	47
1.530	31
1.253	14
2.573	10

Unit cell a=4.320 b=4.320 c=10.635 alpha=90.00 beta=90.00 gamma=120.00
Sites, in units of the cell vectors:
Mn (0.000, 0.000, 0.000)
Cu (0.333, 0.667, 0.169)
Cu (0.333, 0.667, 0.407)
Cu (0.667, 0.333, 0.593)
Cu (0.667, 0.333, 0.831)
Pd (0.000, 0.000, 0.241)
Pd (0.000, 0.000, 0.500)
Pd (0.000, 0.000, 0.759)
Pd (0.333, 0.667, 0.652)
Pd (0.333, 0.667, 0.916)
Pd (0.667, 0.333, 0.084)
Pd (0.667, 0.333, 0.348)

---

[11]
Simulated powder diffraction line list
Compound: MnCu2Pd7
Radiation: Cu Ka
Structure: a DFT-relaxed cell (GGA-PBE, Alexandria)
Intensities are scaled so that the largest is 100.

Principal peaks in the range 10° ≤ 2θ ≤ 90°, by intensity:
d_spacing	Rel. int.
2.147	100
1.957	59
2.792	50
2.088	50
1.927	49
2.275	33

Unit cell a=8.591 b=8.591 c=2.714 alpha=90.00 beta=90.00 gamma=121.85
Sites, in units of the cell vectors:
Mn (0.000, 0.000, 0.000)
Cu (0.331, 0.669, 0.500)
Cu (0.669, 0.331, 0.500)
Pd (0.130, 0.317, 0.500)
Pd (0.189, 0.811, 0.000)
Pd (0.317, 0.130, 0.500)
Pd (0.500, 0.500, 0.500)
Pd (0.683, 0.870, 0.500)
Pd (0.811, 0.189, 0.000)
Pd (0.870, 0.683, 0.500)

---

[12]
Simulated powder diffraction line list
Compound: MnCu2Pd4
Radiation: Cu Ka
Structure: a DFT-relaxed cell (GGA-PBE, Alexandria)
Intensities are scaled so that the largest is 100.

Principal peaks in the range 10° ≤ 2θ ≤ 90°, by intensity:
d_spacing	Rel. int.
2.256	100
2.181	82
2.119	74
2.445	54
2.138	52
2.467	48

Unit cell a=6.544 b=5.439 c=6.589 alpha=90.00 beta=116.37 gamma=90.00
Sites, in units of the cell vectors:
Mn (0.250, 0.250, 0.068)
Mn (0.750, 0.750, 0.932)
Cu (0.261, 0.750, 0.062)
Cu (0.500, 0.250, 0.507)
Cu (0.500, 0.750, 0.493)
Cu (0.739, 0.250, 0.938)
Pd (0.066, 0.250, 0.338)
Pd (0.073, 0.750, 0.330)
Pd (0.349, 0.000, 0.758)
Pd (0.349, 0.500, 0.758)
Pd (0.651, 0.000, 0.242)
Pd (0.651, 0.500, 0.242)
Pd (0.927, 0.250, 0.670)
Pd (0.934, 0.750, 0.662)

---

- Which formula does entry 7 have?
  Mn3CuPb2S8